No. 1
Computed powder diffraction line list
Compound: Sc4TaFe19P12
Radiation: copper Kα
Structure: a DFT-relaxed cell (GGA-PBE, the Materials Project)
Intensities are scaled so that the largest is 100.

Cell and atoms:
```
Sc4TaFe19P12
1.0
10.1956 0.0000 0.0000
0.0000 3.6074 0.0000
-0.0993 0.0000 11.7453
Sc Ta Fe P
4 1 19 12
Direct
0.0000 0.0000 0.0000 Sc
0.1560 0.5000 0.5920 Sc
0.4968 0.5000 0.0877 Sc
0.6632 0.0000 0.5045 Sc
0.2822 0.5000 0.3063 Ta
0.0356 0.5000 0.3629 Fe
0.1093 0.0000 0.2279 Fe
0.1697 0.0000 0.7835 Fe
0.1985 0.5000 0.0915 Fe
0.2989 0.0000 0.9653 Fe
0.3626 0.0000 0.4771 Fe
0.3700 0.5000 0.8058 Fe
0.4549 0.5000 0.5971 Fe
0.4879 0.0000 0.2861 Fe
0.5413 0.0000 0.7283 Fe
0.6161 0.5000 0.8640 Fe
0.6760 0.5000 0.3062 Fe
0.7028 0.0000 0.9964 Fe
0.7854 0.0000 0.7844 Fe
0.7970 0.5000 0.1174 Fe
0.8561 0.5000 0.6212 Fe
0.8709 0.0000 0.2847 Fe
0.9530 0.0000 0.4973 Fe
0.9842 0.5000 0.8059 Fe
0.9999 0.5000 0.1784 P
0.1483 0.0000 0.4168 P
0.1769 0.5000 0.9020 P
0.3133 0.0000 0.1527 P
0.3380 0.0000 0.6698 P
0.4972 0.5000 0.4086 P
0.4997 0.0000 0.9099 P
0.6577 0.5000 0.6824 P
0.6788 0.0000 0.1889 P
0.8182 0.5000 0.9245 P
0.8394 0.5000 0.4299 P
0.9769 0.0000 0.6878 P
```

Largest 8 diffraction maxima, by angle, 5 to 70 degrees two-theta:
Position (°2θ), I (rel.)
11.5, 20
15.1, 21
18.9, 13
39.4, 46
39.6, 100
49.5, 16
49.8, 21
50.6, 45


No. 2
Computed powder diffraction line list
Compound: ThBr4
Radiation: copper Kα
Structure: a DFT-relaxed cell (GGA-PBE, the Materials Project)
Intensities are scaled so that the largest is 100.

Cell and atoms:
```
ThBr4
1.0
-3.4860 3.4860 6.8375
3.4860 -3.4860 6.8375
3.4860 3.4860 -6.8375
Th Br
2 8
Direct
0.3750 0.1250 0.2500 Th
0.6250 0.8750 0.7500 Th
0.0352 0.7366 0.8727 Br
0.2366 0.8639 0.7014 Br
0.3375 0.4648 0.2014 Br
0.3639 0.1625 0.6273 Br
0.6361 0.8375 0.3727 Br
0.6625 0.5352 0.7986 Br
0.7634 0.1361 0.2986 Br
0.9648 0.2634 0.1273 Br
```

Largest 8 diffraction maxima, by angle, 5 to 70 degrees two-theta:
Position (°2θ), I (rel.)
14.3, 100
22.2, 52
29.4, 67
31.9, 37
34.9, 45
36.8, 31
43.1, 39
43.7, 43


No. 3
Computed powder diffraction line list
Compound: Sm3GaCo3
Radiation: copper Kα
Structure: a DFT-relaxed cell (GGA-PBE, the Materials Project)
Intensities are scaled so that the largest is 100.

Cell and atoms:
```
Sm3GaCo3
1.0
2.0786 -5.0691 0.0000
2.0786 5.0691 0.0000
0.0000 0.0000 13.1050
Sm Ga Co
6 2 6
Direct
0.0041 0.9959 0.7500 Sm
0.2940 0.7060 0.6023 Sm
0.2940 0.7060 0.8977 Sm
0.7060 0.2940 0.1023 Sm
0.7060 0.2940 0.3977 Sm
0.9959 0.0041 0.2500 Sm
0.0000 0.0000 0.0000 Ga
0.0000 0.0000 0.5000 Ga
0.2988 0.7012 0.2500 Co
0.4156 0.5844 0.0962 Co
0.4156 0.5844 0.4038 Co
0.5844 0.4156 0.5962 Co
0.5844 0.4156 0.9038 Co
0.7012 0.2988 0.7500 Co
```

Largest 8 diffraction maxima, by angle, 5 to 70 degrees two-theta:
Position (°2θ), I (rel.)
31.0, 74
32.5, 54
34.2, 100
36.0, 99
40.1, 67
41.2, 38
41.3, 27
43.5, 52


No. 4
Computed powder diffraction line list
Compound: MgSb2O4
Radiation: copper Kα
Structure: a DFT-relaxed cell (GGA-PBE, the Materials Project)
Intensities are scaled so that the largest is 100.

Cell and atoms:
```
MgSb2O4
1.0
1.5937 -5.5224 0.0000
1.5937 5.5224 0.0000
0.0000 0.0000 10.9528
Mg Sb O
2 4 8
Direct
0.1150 0.8850 0.7500 Mg
0.8850 0.1150 0.2500 Mg
0.3683 0.6317 0.5804 Sb
0.3683 0.6317 0.9196 Sb
0.6317 0.3683 0.0804 Sb
0.6317 0.3683 0.4196 Sb
0.0000 0.0000 0.0000 O
0.0000 0.0000 0.5000 O
0.2835 0.7165 0.1240 O
0.2835 0.7165 0.3760 O
0.4861 0.5139 0.7500 O
0.5139 0.4861 0.2500 O
0.7165 0.2835 0.6240 O
0.7165 0.2835 0.8760 O
```

Largest 8 diffraction maxima, by angle, 5 to 70 degrees two-theta:
Position (°2θ), I (rel.)
16.2, 34
18.0, 35
29.2, 36
29.3, 100
32.4, 26
37.3, 32
38.4, 28
40.9, 28


No. 5
Computed powder diffraction line list
Compound: Sr3Se2Cl2O6
Radiation: copper Kα
Structure: a DFT-relaxed cell (GGA-PBE, the Materials Project)
Intensities are scaled so that the largest is 100.

Cell and atoms:
```
Sr3Se2Cl2O6
1.0
6.6926 -2.8192 0.0000
6.6926 2.8192 0.0000
-0.7380 0.0000 6.7464
Sr Se Cl O
3 2 2 6
Direct
0.0000 0.0000 0.0000 Sr
0.2714 0.3038 0.7879 Sr
0.6962 0.7286 0.2121 Sr
0.3880 0.4190 0.2649 Se
0.5810 0.6120 0.7351 Se
0.1437 0.1776 0.3753 Cl
0.8224 0.8563 0.6247 Cl
0.1047 0.6092 0.1153 O
0.3908 0.8953 0.8847 O
0.4525 0.4928 0.7717 O
0.5072 0.5475 0.2283 O
0.5781 0.1375 0.1148 O
0.8625 0.4219 0.8852 O
```

Largest 8 diffraction maxima, by angle, 5 to 70 degrees two-theta:
Position (°2θ), I (rel.)
13.1, 22
26.4, 19
27.8, 100
31.0, 15
31.2, 24
31.7, 39
32.3, 68
45.1, 31


No. 6
Computed powder diffraction line list
Compound: CsRb2AuCl6
Radiation: copper Kα
Structure: a DFT-relaxed cell (GGA-PBE, the Materials Project)
Intensities are scaled so that the largest is 100.

Cell and atoms:
```
CsRb2AuCl6
1.0
0.0000 5.6936 5.6936
5.6936 0.0000 5.6936
5.6936 5.6936 0.0000
Cs Rb Au Cl
1 2 1 6
Direct
0.0000 0.0000 0.0000 Cs
0.2500 0.2500 0.2500 Rb
0.7500 0.7500 0.7500 Rb
0.5000 0.5000 0.5000 Au
0.2788 0.2788 0.7212 Cl
0.2788 0.7212 0.2788 Cl
0.2788 0.7212 0.7212 Cl
0.7212 0.2788 0.2788 Cl
0.7212 0.2788 0.7212 Cl
0.7212 0.7212 0.2788 Cl
```

Largest 8 diffraction maxima, by angle, 5 to 70 degrees two-theta:
Position (°2θ), I (rel.)
15.6, 32
22.1, 100
31.4, 54
35.2, 15
38.7, 44
45.0, 36
50.7, 26
60.9, 28